Ba7NaPt2Au2: computed X-ray diffraction stick pattern (Cu Kα (weighted mean of Kα1 and Kα2)), based on DFT lattice parameters and positions (GGA-PBE).
Lines closer than 0.1° are merged.

Crystal structure
```
12
Lattice="-3.2395 13.1940 3.2391 3.2395 -13.1940 3.2391 3.2395 13.1940 -3.2391" Properties=species:S:1:pos:R:3 pbc="T T T"
Ba 0.0000 0.0000 6.4764
Ba 3.2395 3.2272 0.0000
Ba 0.0000 6.2459 0.0084
Ba 3.2395 9.9656 0.0018
Ba 0.0000 3.2284 3.2409
Ba 0.0000 20.1421 0.0084
Ba 0.0000 9.9668 3.2391
Na 3.2395 0.0000 3.2275
Pt 0.0000 3.0823 0.0027
Pt 0.0000 23.3057 0.0027
Au 3.2395 6.5963 0.0086
Au 0.0000 6.5977 3.2476
```

Most intense lines, 2θ from 15° to 90°, by angle:
| 2θ (°) | I_rel |
| --- | --- |
| 27.03 | 47 |
| 27.54 | 100 |
| 31.05 | 17 |
| 33.54 | 19 |
| 38.97 | 71 |
| 39.35 | 45 |
| 48.38 | 40 |
| 64.03 | 20 |
| 64.30 | 19 |
| 71.07 | 25 |

Tb8Nd6Sm: computed X-ray diffraction stick pattern (Cu Kα (weighted mean of Kα1 and Kα2)), based on DFT lattice parameters and positions (GGA-PBE).
Lines closer than 0.1° are merged.

Crystal structure
```
15
Lattice="4.5859 2.6477 6.9759 -4.5859 2.6477 6.9759 0.0000 -5.2954 6.9759" Properties=species:S:1:pos:R:3 pbc="T T T"
Tb 0.0000 0.0000 1.6046
Tb -1.8101 0.8828 7.5179
Tb 0.1405 -2.0090 7.5179
Tb -1.6696 -1.1262 13.4097
Tb 1.6696 1.1262 7.5179
Tb -0.1405 2.0090 13.4097
Tb 1.8101 -0.8828 13.4097
Tb 0.0000 0.0000 19.3230
Nd -2.5912 -2.1730 9.5664
Nd -3.1775 1.1576 11.3612
Nd 0.5863 -3.3306 11.3612
Nd -0.5863 3.3306 9.5664
Nd 3.1775 -1.1576 9.5664
Nd 2.5912 2.1730 11.3612
Sm 0.0000 0.0000 10.4638
```

Most intense lines, 2θ from 15° to 90°, by angle:
| 2θ (°) | I_rel |
| --- | --- |
| 30.07 | 21 |
| 31.01 | 100 |
| 31.99 | 30 |
| 32.24 | 9 |
| 34.44 | 11 |
| 36.29 | 14 |
| 52.37 | 11 |
| 53.23 | 6 |
| 54.55 | 9 |
| 59.40 | 11 |

PrNdGd4: computed X-ray diffraction stick pattern (Cu Kα (weighted mean of Kα1 and Kα2)), based on DFT lattice parameters and positions (GGA-PBE).
Lines closer than 0.1° are merged.

Crystal structure
```
6
Lattice="0.0000 4.7302 4.7302 4.7302 0.0000 4.7302 4.7302 4.7302 0.0000" Properties=species:S:1:pos:R:3 pbc="T T T"
Pr 0.0000 0.0000 0.0000
Nd 2.3651 2.3651 2.3651
Gd 5.9122 3.5483 3.5483
Gd 3.5483 5.9122 3.5483
Gd 3.5483 3.5483 5.9122
Gd 5.9122 5.9122 5.9122
```

Most intense lines, 2θ from 15° to 90°, by angle:
| 2θ (°) | I_rel |
| --- | --- |
| 26.65 | 24 |
| 31.36 | 100 |
| 32.79 | 43 |
| 47.06 | 10 |
| 50.10 | 36 |
| 54.90 | 32 |
| 64.60 | 13 |
| 65.44 | 18 |
| 77.50 | 22 |
| 89.77 | 13 |

Rb2CdGeBr6: computed X-ray diffraction stick pattern (Cu Kα (weighted mean of Kα1 and Kα2)), based on DFT lattice parameters and positions (GGA-PBE).
Lines closer than 0.1° are merged.

Crystal structure
```
10
Lattice="7.7946 0.0000 0.0000 3.7877 6.8154 0.0000 3.7912 2.2328 6.4390" Properties=species:S:1:pos:R:3 pbc="T T T"
Rb 0.0000 0.0000 0.0000
Rb 7.6716 4.5074 3.2173
Cd 11.5335 6.7862 4.8325
Ge 3.8452 2.2615 1.6129
Br 5.9218 7.5477 3.2311
Br 5.5641 3.7910 0.0001
Br 7.6977 2.4884 6.0899
Br 6.0273 1.0053 2.8619
Br 9.4650 3.5230 0.3661
Br 11.5787 4.2698 3.5789
```

Most intense lines, 2θ from 15° to 90°, by angle:
| 2θ (°) | I_rel |
| --- | --- |
| 15.97 | 24 |
| 22.50 | 13 |
| 22.82 | 19 |
| 26.60 | 27 |
| 27.71 | 39 |
| 28.23 | 18 |
| 32.26 | 100 |
| 45.92 | 25 |
| 46.60 | 35 |
| 48.17 | 14 |

LiBe2Au7: computed X-ray diffraction stick pattern (Cu Kα (weighted mean of Kα1 and Kα2)), based on DFT lattice parameters and positions (GGA-PBE).
Lines closer than 0.1° are merged.

Crystal structure
```
10
Lattice="-2.0306 2.0306 9.9212 2.0306 -2.0306 9.9212 2.0306 2.0306 -9.9212" Properties=species:S:1:pos:R:3 pbc="T T T"
Li 0.0000 0.0000 0.0000
Be 0.0000 0.0000 6.4294
Be 0.0000 0.0000 13.4131
Au 2.0306 0.0000 2.0844
Au 2.0306 0.0000 4.9606
Au 2.0306 0.0000 7.8369
Au 0.0000 0.0000 9.9212
Au 0.0000 2.0306 2.0844
Au 0.0000 2.0306 4.9606
Au 0.0000 2.0306 7.8369
```

Most intense lines, 2θ from 15° to 90°, by angle:
| 2θ (°) | I_rel |
| --- | --- |
| 26.96 | 31 |
| 31.14 | 77 |
| 32.46 | 23 |
| 36.18 | 56 |
| 41.65 | 100 |
| 44.62 | 61 |
| 58.77 | 29 |
| 64.95 | 20 |
| 74.68 | 26 |
| 80.17 | 31 |